Simulated XRD peak list
Compound: Pr4CN
Radiation: copper Kα
Structure: a structure optimized by DFT (PBE)
No peak broadening, texture or thermal motion is included.

Peak list (12 most intense, 10° ≤ 2θ ≤ 90°, by angle)
13.32°, I 30, hkl 0 0 1
26.83°, I 52, hkl 0 0 2
27.95°, I 29, hkl 1 1 0
30.99°, I 100, hkl 2 0 -1
31.18°, I 81, hkl 1 1 1
31.41°, I 31, hkl 2 0 1
38.96°, I 43, hkl 1 1 -2
39.57°, I 19, hkl 2 0 2
49.36°, I 15, hkl 0 2 0
49.63°, I 29, hkl 3 1 0
50.32°, I 27, hkl 1 1 3
57.70°, I 17, hkl 3 1 2

Structure:
```
data_Pr4CN
_chemical_formula_sum 'Pr4 C1 N1'
_symmetry_space_group_name_H-M 'P 1 2/m 1'
_symmetry_Int_Tables_number 10
_cell_length_a 6.3530
_cell_length_b 3.6925
_cell_length_c 6.6471
_cell_angle_alpha 90.00
_cell_angle_beta 90.93
_cell_angle_gamma 90.00
loop_
_symmetry_equiv_pos_as_xyz
'x,y,z'
'-x,-y,-z'
'-x,y,-z'
'x,-y,z'
loop_
_atom_site_label
_atom_site_type_symbol
_atom_site_fract_x
_atom_site_fract_y
_atom_site_fract_z
Pr1 Pr 0.1592 0.0000 0.2883
Pr2 Pr 0.3325 0.5000 0.7138
C1 C 0.5000 0.0000 0.5000
N1 N 0.0000 0.5000 0.5000
```


Simulated XRD peak list
Compound: LaMgAgGe
Radiation: copper Kα
Structure: a structure optimized by DFT (PBE)
No peak broadening, texture or thermal motion is included.

Peak list (12 most intense, 10° ≤ 2θ ≤ 90°, by angle)
21.42°, I 26, hkl 1 1 1
24.78°, I 1, hkl 2 0 0
35.33°, I 100, hkl 2 2 0
41.69°, I 14, hkl 3 1 1
50.83°, I 17, hkl 4 0 0
55.77°, I 6, hkl 3 3 1
63.42°, I 35, hkl 4 2 2
67.77°, I 4, hkl 5 1 1
74.73°, I 11, hkl 4 4 0
78.80°, I 4, hkl 5 3 1
85.46°, I 15, hkl 6 2 0
89.42°, I 2, hkl 5 3 3

Structure:
```
data_LaMgAgGe
_chemical_formula_sum 'La4 Mg4 Ag4 Ge4'
_symmetry_space_group_name_H-M 'F -4 3 m'
_symmetry_Int_Tables_number 216
_symmetry_space_group_name_Hall 'F -4 2 3'
_cell_length_a 7.1854
_cell_length_b 7.1854
_cell_length_c 7.1854
_cell_angle_alpha 90.00
_cell_angle_beta 90.00
_cell_angle_gamma 90.00
loop_
_atom_site_label
_atom_site_type_symbol
_atom_site_fract_x
_atom_site_fract_y
_atom_site_fract_z
La1 La 0.0000 0.0000 0.0000
Mg1 Mg 0.0000 0.0000 0.5000
Ag1 Ag 0.2500 0.2500 0.2500
Ge1 Ge 0.2500 0.2500 0.7500
```